Diffraction record for ZrMn6Ga2Sn4. The X-ray powder pattern is calculated, not measured: it uses a cell relaxed with PBE and Cu Kα (λ = 1.5418 Å).

Cell and atoms:
Cell: 5.3339 5.3339 8.7736 Å, 90.00 90.00 120.00°
Space group P6/mmm (No. 191)
Inequivalent atoms, fractional coordinates:
Zr 0.0000 0.0000 0.0000
Mn 0.0000 0.5000 0.2551
Ga 0.3333 0.6667 0.5000
Sn 0.0000 0.0000 0.3354
Sn 0.3333 0.6667 0.0000

Most intense lines, 10 to 80 degrees two-theta, in order of falling intensity:
33.6 deg, rel. 100, (1 1 0)
39.5 deg, rel. 78, (1 1 2)
44.3 deg, rel. 74, (2 0 2)
46.1 deg, rel. 40, (1 1 3)
39.0 deg, rel. 40, (2 0 0)
73.9 deg, rel. 38, (1 1 6)
70.6 deg, rel. 33, (2 2 0)
36.4 deg, rel. 33, (1 0 3)
45.8 deg, rel. 27, (1 0 4)
30.6 deg, rel. 24, (0 0 3)